# BaCaCeZrO6
Simulated X-ray powder pattern, CuKα. Input: the PBE geometry in the Materials Project.
No peak broadening, texture or thermal motion is included.

Cell and atoms:
a = 8.6523 Å, b = 8.6523 Å, c = 8.6523 Å
α = 90.00°, β = 90.00°, γ = 90.00°
Space group F-43m (No. 216)
Symmetry-distinct sites (fractional):
Ba 0.0000 0.0000 0.0000 x4
Ca 0.0000 0.0000 0.5000 x4
Ce 0.2500 0.2500 0.7500 x4
Zr 0.2500 0.2500 0.2500 x4
O 0.0067 0.2500 0.2500 x24

Largest 10 diffraction maxima, in order of rising 2θ, 15° ≤ 2θ ≤ 90°:
- 17.76°, d = 4.995 Å, intensity 15
- 20.53°, d = 4.326 Å, intensity 8
- 29.19°, d = 3.059 Å, intensity 100
- 34.38°, d = 2.609 Å, intensity 10
- 41.76°, d = 2.163 Å, intensity 34
- 51.76°, d = 1.766 Å, intensity 40
- 60.53°, d = 1.530 Å, intensity 21
- 68.60°, d = 1.368 Å, intensity 18
- 76.24°, d = 1.249 Å, intensity 7
- 83.64°, d = 1.156 Å, intensity 21

# Cs2Ba2O3
Simulated X-ray powder pattern, CuKα. Input: the PBE geometry in the Materials Project.
No peak broadening, texture or thermal motion is included.

Cell and atoms:
a = 7.7111 Å, b = 7.8704 Å, c = 7.6777 Å
α = 90.00°, β = 117.52°, γ = 90.00°
Space group P2_1/c (No. 14)
Symmetry-distinct sites (fractional):
Cs 0.1763 0.1494 0.4234 x4
Ba 0.3280 0.6258 0.5619 x4
O 0.0000 0.0000 0.0000 x2
O 0.3909 0.5891 0.2522 x4

Largest 10 diffraction maxima, in order of rising 2θ, 15° ≤ 2θ ≤ 90°:
- 25.02°, d = 3.559 Å, intensity 26
- 26.07°, d = 3.419 Å, intensity 18
- 26.17°, d = 3.405 Å, intensity 22
- 26.39°, d = 3.377 Å, intensity 100
- 27.11°, d = 3.289 Å, intensity 51
- 28.46°, d = 3.136 Å, intensity 41
- 28.57°, d = 3.125 Å, intensity 32
- 31.94°, d = 2.802 Å, intensity 29
- 41.18°, d = 2.192 Å, intensity 17
- 47.45°, d = 1.916 Å, intensity 27

# Mg6CrCd
Simulated X-ray powder pattern, CuKα. Input: the PBE geometry in the Materials Project.
No peak broadening, texture or thermal motion is included.

Cell and atoms:
a = 5.0073 Å, b = 6.2710 Å, c = 10.8934 Å
α = 90.00°, β = 90.00°, γ = 90.00°
Space group Amm2 (No. 38)
Symmetry-distinct sites (fractional):
Mg 0.0000 0.0000 0.0000 x2
Mg 0.0000 0.0000 0.4959 x2
Mg 0.0000 0.2441 0.2521 x4
Mg 0.5000 0.2483 0.5834 x4
Cr 0.5000 0.0000 0.3342 x2
Cd 0.5000 0.0000 0.8327 x2

Largest 10 diffraction maxima, in order of rising 2θ, 15° ≤ 2θ ≤ 90°:
- 16.28°, d = 5.443 Å, intensity 34
- 17.71°, d = 5.007 Å, intensity 19
- 24.15°, d = 3.685 Å, intensity 28
- 32.94°, d = 2.719 Å, intensity 32
- 33.71°, d = 2.659 Å, intensity 12
- 35.87°, d = 2.504 Å, intensity 24
- 37.64°, d = 2.390 Å, intensity 100
- 49.49°, d = 1.842 Å, intensity 19
- 65.63°, d = 1.423 Å, intensity 18
- 70.80°, d = 1.331 Å, intensity 12

# RhN2
Simulated X-ray powder pattern, CuKα. Input: the PBE geometry in the Materials Project.
No peak broadening, texture or thermal motion is included.

Cell and atoms:
a = 4.0875 Å, b = 4.9177 Å, c = 2.8345 Å
α = 90.00°, β = 90.00°, γ = 90.00°
Space group Pnnm (No. 58)
Symmetry-distinct sites (fractional):
Rh 0.0000 0.0000 0.0000 x2
N 0.1215 0.4149 0.0000 x4

Largest 10 diffraction maxima, in order of rising 2θ, 15° ≤ 2θ ≤ 90°:
- 28.39°, d = 3.143 Å, intensity 100
- 36.57°, d = 2.457 Å, intensity 91
- 38.66°, d = 2.329 Å, intensity 87
- 44.32°, d = 2.044 Å, intensity 22
- 54.25°, d = 1.691 Å, intensity 53
- 58.77°, d = 1.571 Å, intensity 54
- 60.89°, d = 1.521 Å, intensity 16
- 65.85°, d = 1.418 Å, intensity 22
- 77.78°, d = 1.228 Å, intensity 15
- 82.84°, d = 1.165 Å, intensity 20

# CaMg6V
Simulated X-ray powder pattern, CuKα. Input: the PBE geometry in the Materials Project.
No peak broadening, texture or thermal motion is included.

Cell and atoms:
a = 5.1923 Å, b = 6.5084 Å, c = 11.2580 Å
α = 90.00°, β = 90.00°, γ = 90.00°
Space group Amm2 (No. 38)
Symmetry-distinct sites (fractional):
Ca 0.0000 0.0000 0.0000 x2
Mg 0.0000 0.0000 0.5063 x2
Mg 0.0000 0.2399 0.7555 x4
Mg 0.5000 0.0000 0.3369 x2
Mg 0.5000 0.2446 0.5895 x4
V 0.5000 0.0000 0.8337 x2

Largest 10 diffraction maxima, in order of rising 2θ, 15° ≤ 2θ ≤ 90°:
- 15.73°, d = 5.634 Å, intensity 11
- 31.77°, d = 2.816 Å, intensity 24
- 34.55°, d = 2.596 Å, intensity 26
- 36.29°, d = 2.476 Å, intensity 100
- 47.64°, d = 1.909 Å, intensity 15
- 56.60°, d = 1.626 Å, intensity 17
- 63.04°, d = 1.475 Å, intensity 18
- 68.03°, d = 1.378 Å, intensity 18
- 69.12°, d = 1.359 Å, intensity 13
- 89.78°, d = 1.092 Å, intensity 6